Starting from a crystal structure in Alexandria, relaxed with GGA-PBE, the X-ray powder pattern of Ba2BeSO4F4 was computed for Cu Kα.
No peak broadening, texture or thermal motion is included.

Structure:
```
data_Ba2BeSO4F4
_cell_length_a 5.957
_cell_length_b 8.666
_cell_length_c 7.449
_cell_angle_alpha 90.00
_cell_angle_beta 95.86
_cell_angle_gamma 90.00
_symmetry_space_group_name_H-M 'P 1 21 1'
_symmetry_Int_Tables_number 4
loop_
_symmetry_equiv_pos_as_xyz
'x,y,z'
'-x,y+1/2,-z'
loop_
_atom_site_label
_atom_site_fract_x
_atom_site_fract_y
_atom_site_fract_z
_atom_site_occupancy
Ba1 0.006 0.000 0.084 1
Ba2 0.489 0.219 0.580 1
Be1 0.004 0.906 0.603 1
S1 0.497 0.743 0.932 1
O1 0.286 0.228 0.945 1
O2 0.304 0.746 0.050 1
O3 0.416 0.025 0.291 1
O4 0.447 0.558 0.858 1
F1 0.025 0.252 0.295 1
F2 0.098 0.382 0.599 1
F3 0.133 0.533 0.306 1
F4 0.261 0.946 0.605 1
```

The 10 most intense peaks (10 to 90 degrees two-theta), by intensity:
- 2θ 25.47, 3.498 Å, I 100
- 2θ 26.16, 3.407 Å, I 49
- 2θ 30.16, 2.963 Å, I 37
- 2θ 18.19, 4.877 Å, I 32
- 2θ 23.79, 3.740 Å, I 30
- 2θ 42.31, 2.136 Å, I 27
- 2θ 20.12, 4.413 Å, I 26
- 2θ 37.75, 2.383 Å, I 25
- 2θ 28.98, 3.081 Å, I 23
- 2θ 39.78, 2.266 Å, I 23